No. 1
CdSbO3: calculated powder diffraction line list (Cu Kα (λ = 1.5418 Å)), based on DFT lattice parameters and positions (PBE).
Intensities are scaled so that the largest is 100.

Main lines, in order of rising 2θ (5° ≤ 2θ ≤ 70°):
hkl 0 4 1, 2θ = 28.63°, I = 100
hkl 1 1 1, 2θ = 31.46°, I = 60
hkl 0 0 2, 2θ = 31.94°, I = 84
hkl 1 3 2, 2θ = 45.79°, I = 57
hkl 1 7 1, 2θ = 53.15°, I = 44
hkl 2 4 1, 2θ = 62.46°, I = 21

Atomic structure:
```
data_CdSbO3
_chemical_formula_sum 'Cd4 Sb4 O12'
_symmetry_space_group_name_H-M 'C m c 21'
_symmetry_Int_Tables_number 36
_symmetry_space_group_name_Hall 'C 2c -2'
_cell_length_a 3.383
_cell_length_b 15.008
_cell_length_c 5.604
_cell_angle_alpha 90.00
_cell_angle_beta 90.00
_cell_angle_gamma 90.00
loop_
_atom_site_label
_atom_site_type_symbol
_atom_site_fract_x
_atom_site_fract_y
_atom_site_fract_z
_atom_site_occupancy
Cd1 Cd 0.000 0.043 0.000 1
Sb1 Sb 0.000 0.328 0.029 1
O1 O 0.000 0.116 0.348 1
O2 O 0.000 0.224 0.734 1
O3 O 0.000 0.444 0.226 1
```

=====

No. 2
Pm2Sm3Cd2: calculated powder diffraction line list (Cu Kα (λ = 1.5418 Å)), based on DFT lattice parameters and positions (PBE).
Intensities are scaled so that the largest is 100.

Main lines, in order of rising 2θ (5° ≤ 2θ ≤ 70°):
hkl 0 6 1, 2θ = 29.61°, I = 34
hkl 1 7 0, 2θ = 31.01°, I = 100
hkl 0 8 1, 2θ = 32.97°, I = 55
hkl 1 1 1, 2θ = 35.12°, I = 69
hkl 1 15 1, 2θ = 54.97°, I = 28
hkl 1 7 2, 2θ = 60.56°, I = 29

Atomic structure:
```
data_Pm2Sm3Cd2
_chemical_formula_sum 'Pm4 Sm6 Cd4'
_symmetry_space_group_name_H-M 'C m m m'
_symmetry_Int_Tables_number 65
_symmetry_space_group_name_Hall '-C 2 2'
_cell_length_a 3.642
_cell_length_b 33.042
_cell_length_c 3.606
_cell_angle_alpha 90.00
_cell_angle_beta 90.00
_cell_angle_gamma 90.00
loop_
_atom_site_label
_atom_site_type_symbol
_atom_site_fract_x
_atom_site_fract_y
_atom_site_fract_z
_atom_site_occupancy
Pm1 Pm 0.000 0.203 0.000 1
Sm1 Sm 0.000 0.077 0.000 1
Sm2 Sm 0.000 0.500 0.500 1
Cd1 Cd 0.000 0.360 0.500 1
```